Entry 1:
Simulated XRD peak list of RbTeAu for Cu Kα, from DFT lattice parameters and positions (PBE).

Lattice parameters (Å, degrees): 4.7838 4.7838 10.6977 90.00 90.00 120.00
Fractional positions:
Rb 0.0000 0.0000 0.0000
Rb 0.0000 0.0000 0.5000
Te 0.3333 0.6667 0.2500
Te 0.6667 0.3333 0.7500
Au 0.3333 0.6667 0.7500
Au 0.6667 0.3333 0.2500

Main lines, sorted by position (10° ≤ 2θ ≤ 90°):
Position (°2θ)  d_spacing  intensity
16.6  5.349  47
27.2  3.275  100
33.5  2.674  26
37.6  2.392  58
41.3  2.184  30
47.0  1.932  22
51.2  1.783  50
56.2  1.638  14
61.7  1.503  20
82.7  1.167  16


Entry 2:
Simulated XRD peak list of RbTeAu for Cu Kα, from DFT lattice parameters and positions (PBE).

Lattice parameters (Å, degrees): 6.0054 5.2522 7.3964 90.00 90.00 90.00
Fractional positions:
Rb 0.2500 0.0000 0.2110
Rb 0.7500 0.0000 0.7890
Te 0.2500 0.5000 0.7952
Te 0.7500 0.5000 0.2048
Au 0.0000 0.5000 0.5000
Au 0.5000 0.5000 0.5000

Main lines, sorted by position (10° ≤ 2θ ≤ 90°):
Position (°2θ)  d_spacing  intensity
12.0  7.396  63
16.9  5.252  86
20.7  4.282  65
25.5  3.487  100
32.2  2.782  43
34.1  2.626  47
36.5  2.459  43
38.6  2.331  58
42.4  2.131  32
52.5  1.743  55


Entry 3:
Simulated XRD peak list of RbUTe3Au for Cu Kα, from DFT lattice parameters and positions (PBE).

Lattice parameters (Å, degrees): 8.5871 8.5871 11.4290 90.00 90.00 150.12
Fractional positions:
Rb 0.2456 0.7544 0.7500
Rb 0.7544 0.2456 0.2500
U 0.0000 0.0000 0.0000
U 0.0000 0.0000 0.5000
Te 0.0691 0.9309 0.2500
Te 0.3735 0.6265 0.0462
Te 0.3735 0.6265 0.4538
Te 0.6265 0.3735 0.5462
Te 0.6265 0.3735 0.9538
Te 0.9309 0.0691 0.7500
Au 0.4634 0.5366 0.2500
Au 0.5366 0.4634 0.7500

Main lines, sorted by position (10° ≤ 2θ ≤ 90°):
Position (°2θ)  d_spacing  intensity
10.7  8.297  100
25.8  3.459  21
26.9  3.309  48
30.2  2.958  62
31.3  2.857  30
33.2  2.702  15
37.3  2.408  36
40.8  2.214  21
47.7  1.907  18
52.3  1.750  14


Entry 4:
Simulated XRD peak list of Zn2RhAu for Cu Kα, from DFT lattice parameters and positions (PBE).

Lattice parameters (Å, degrees): 4.3831 4.3831 4.3831 60.00 60.00 60.00
Fractional positions:
Zn 0.2500 0.2500 0.2500
Zn 0.7500 0.7500 0.7500
Rh 0.0000 0.0000 0.0000
Au 0.5000 0.5000 0.5000

Main lines, sorted by position (10° ≤ 2θ ≤ 90°):
Position (°2θ)  d_spacing  intensity
24.9  3.579  10
28.8  3.099  17
41.2  2.192  100
48.7  1.869  6
51.0  1.789  5
59.7  1.550  16
65.7  1.422  2
67.6  1.386  7
75.1  1.265  33
89.4  1.096  11


Entry 5:
Simulated XRD peak list of RuAu3 for Cu Kα, from DFT lattice parameters and positions (PBE).

Lattice parameters (Å, degrees): 5.8446 5.8446 4.7048 90.00 90.00 120.00
Fractional positions:
Ru 0.3333 0.6667 0.2500
Ru 0.6667 0.3333 0.7500
Au 0.1690 0.3381 0.7500
Au 0.1690 0.8310 0.7500
Au 0.3381 0.1690 0.2500
Au 0.6619 0.8310 0.7500
Au 0.8310 0.1690 0.2500
Au 0.8310 0.6619 0.2500

Main lines, sorted by position (10° ≤ 2θ ≤ 90°):
Position (°2θ)  d_spacing  intensity
25.9  3.446  7
35.5  2.531  24
38.3  2.352  26
40.5  2.229  100
53.2  1.723  15
63.7  1.461  18
70.7  1.333  20
76.8  1.241  21
78.2  1.222  15
87.5  1.114  4


Entry 6:
Simulated XRD peak list of RuAu3 for Cu Kα, from DFT lattice parameters and positions (PBE).

Lattice parameters (Å, degrees): 4.9090 4.9090 4.9090 129.66 129.66 73.95
Fractional positions:
Ru 0.0000 0.0000 0.0000
Au 0.2500 0.7500 0.5000
Au 0.5000 0.5000 0.0000
Au 0.7500 0.2500 0.5000

Main lines, sorted by position (10° ≤ 2θ ≤ 90°):
Position (°2θ)  d_spacing  intensity
24.1  3.686  6
38.2  2.359  100
43.3  2.088  35
46.3  1.961  15
50.2  1.817  2
63.0  1.476  12
65.3  1.429  21
76.1  1.251  27
80.3  1.195  12
81.6  1.179  12


Entry 7:
Simulated XRD peak list of Y2RuAu for Cu Kα, from DFT lattice parameters and positions (PBE).

Lattice parameters (Å, degrees): 4.9692 4.9692 4.9692 60.00 60.00 60.00
Fractional positions:
Y 0.2500 0.2500 0.2500
Y 0.7500 0.7500 0.7500
Ru 0.0000 0.0000 0.0000
Au 0.5000 0.5000 0.5000

Main lines, sorted by position (10° ≤ 2θ ≤ 90°):
Position (°2θ)  d_spacing  intensity
21.9  4.057  8
25.3  3.514  7
36.2  2.485  100
42.7  2.119  5
44.7  2.029  2
52.1  1.757  17
58.8  1.571  3
65.0  1.434  35
76.7  1.242  11
87.9  1.111  16


Entry 8:
Simulated XRD peak list of AuS for Cu Kα, from DFT lattice parameters and positions (PBE).

Lattice parameters (Å, degrees): 3.9331 3.9331 6.8182 90.00 90.00 120.00
Fractional positions:
Au 0.3333 0.6667 0.0000
Au 0.6667 0.3333 0.5000
S 0.3333 0.6667 0.3544
S 0.6667 0.3333 0.8544

Main lines, sorted by position (10° ≤ 2θ ≤ 90°):
Position (°2θ)  d_spacing  intensity
26.2  3.408  71
29.3  3.047  100
37.3  2.410  20
46.2  1.967  32
48.1  1.891  42
53.8  1.704  38
55.6  1.652  17
68.9  1.363  14
75.1  1.265  24
87.0  1.120  16


Entry 9:
Simulated XRD peak list of Au3S for Cu Kα, from DFT lattice parameters and positions (PBE).

Lattice parameters (Å, degrees): 5.8880 5.8880 4.8246 90.00 90.00 120.00
Fractional positions:
Au 0.1663 0.3325 0.2500
Au 0.1663 0.8337 0.2500
Au 0.3325 0.1663 0.7500
Au 0.6675 0.8337 0.2500
Au 0.8337 0.1663 0.7500
Au 0.8337 0.6675 0.7500
S 0.3333 0.6667 0.7500
S 0.6667 0.3333 0.2500

Main lines, sorted by position (10° ≤ 2θ ≤ 90°):
Position (°2θ)  d_spacing  intensity
25.4  3.505  21
30.4  2.944  9
35.2  2.550  24
37.3  2.412  27
40.0  2.254  100
52.2  1.752  15
63.2  1.472  18
69.1  1.360  20
75.7  1.257  21
77.4  1.232  15


Entry 10:
Simulated XRD peak list of AuS2 for Cu Kα, from DFT lattice parameters and positions (PBE).

Lattice parameters (Å, degrees): 5.3961 5.3961 5.3961 90.00 90.00 90.00
Fractional positions:
Au 0.2500 0.2500 0.2500
Au 0.7500 0.7500 0.7500
S 0.0000 0.0000 0.0000
S 0.0000 0.5000 0.5000
S 0.5000 0.0000 0.5000
S 0.5000 0.5000 0.0000

Main lines, sorted by position (10° ≤ 2θ ≤ 90°):
Position (°2θ)  d_spacing  intensity
23.3  3.816  100
28.7  3.115  5
33.2  2.698  9
41.0  2.203  47
47.7  1.908  27
53.7  1.706  22
64.6  1.442  25
74.6  1.272  13
84.1  1.150  6
88.8  1.101  10


Entry 11:
Simulated XRD peak list of Ta5AuS for Cu Kα, from DFT lattice parameters and positions (PBE).

Lattice parameters (Å, degrees): 8.9239 8.9239 8.9239 60.00 60.00 60.00
Fractional positions:
Ta 0.0272 0.0272 0.4728
Ta 0.0272 0.4728 0.0272
Ta 0.0272 0.4728 0.4728
Ta 0.1459 0.6180 0.6180
Ta 0.1978 0.1978 0.8022
Ta 0.1978 0.8022 0.1978
Ta 0.1978 0.8022 0.8022
Ta 0.4728 0.0272 0.0272
Ta 0.4728 0.0272 0.4728
Ta 0.4728 0.4728 0.0272
Ta 0.5041 0.8320 0.8320
Ta 0.6180 0.1459 0.6180
Ta 0.6180 0.6180 0.1459
Ta 0.6180 0.6180 0.6180
Ta 0.8022 0.1978 0.1978
Ta 0.8022 0.1978 0.8022
Ta 0.8022 0.8022 0.1978
Ta 0.8320 0.5041 0.8320
Ta 0.8320 0.8320 0.5041
Ta 0.8320 0.8320 0.8320
Au 0.3997 0.3997 0.3997
Au 0.3997 0.3997 0.8009
Au 0.3997 0.8009 0.3997
Au 0.8009 0.3997 0.3997
S 0.1309 0.1309 0.1309
S 0.1309 0.1309 0.6072
S 0.1309 0.6072 0.1309
S 0.6072 0.1309 0.1309

Main lines, sorted by position (10° ≤ 2θ ≤ 90°):
Position (°2θ)  d_spacing  intensity
12.1  7.286  15
34.8  2.576  31
37.0  2.429  100
40.4  2.231  83
56.0  1.643  15
62.4  1.487  23
63.9  1.457  14
68.1  1.377  10
74.9  1.268  14
78.4  1.220  18


Entry 12:
Simulated XRD peak list of Sb3Au for Cu Kα, from DFT lattice parameters and positions (PBE).

Lattice parameters (Å, degrees): 3.0632 3.0632 11.8151 90.00 90.00 90.00
Fractional positions:
Sb 0.0000 0.0000 0.0000
Sb 0.0000 0.0000 0.2688
Sb 0.0000 0.0000 0.7312
Au 0.0000 0.0000 0.5000

Main lines, sorted by position (10° ≤ 2θ ≤ 90°):
Position (°2θ)  d_spacing  intensity
29.2  3.063  100
30.3  2.954  41
41.7  2.166  38
42.5  2.126  68
52.4  1.747  35
60.4  1.532  13
68.5  1.370  17
69.1  1.360  17
70.8  1.330  11
76.7  1.243  23